[1]
Structure and calculated powder diffractogram of CoCu2B2O6 (DFT lattice parameters and positions (PBE+U); Cu Kα, 1.54184 Å).
No peak broadening, texture or thermal motion is included.

Most intense lines, 5 to 70 degrees two-theta, in order of rising 2θ:
| 2theta | I/Imax |
| --- | --- |
| 15.25 | 41 |
| 20.25 | 49 |
| 32.34 | 100 |
| 32.90 | 29 |
| 34.90 | 54 |
| 35.78 | 86 |
| 40.97 | 31 |
| 45.86 | 24 |
| 56.14 | 25 |
| 59.50 | 24 |

Atomic structure:
abc: 3.2706 14.9411 9.2706
angles: 90.00 94.51 90.00
Sites, in units of the cell vectors:
Co  0.1952  0.1370  0.3781
Co  0.1952  0.3630  0.8781
Co  0.8048  0.6370  0.1219
Co  0.8048  0.8630  0.6219
Cu  0.3106  0.5432  0.3631
Cu  0.3106  0.9568  0.8631
Cu  0.3329  0.7424  0.8753
Cu  0.3329  0.7576  0.3753
Cu  0.6671  0.2424  0.6247
Cu  0.6671  0.2576  0.1247
Cu  0.6894  0.0432  0.1369
Cu  0.6894  0.4568  0.6369
B  0.1365  0.5797  0.8348
B  0.1365  0.9203  0.3348
B  0.1866  0.1522  0.9049
B  0.1866  0.3478  0.4049
B  0.8134  0.6522  0.5951
B  0.8134  0.8478  0.0951
B  0.8635  0.0797  0.6652
B  0.8635  0.4203  0.1652
O  0.0152  0.6514  0.7364
O  0.0152  0.8486  0.2364
O  0.0899  0.0062  0.2974
O  0.0899  0.4938  0.7974
O  0.2309  0.2335  0.9699
O  0.2309  0.2665  0.4699
O  0.3018  0.6162  0.9624
O  0.3018  0.8838  0.4624
O  0.3204  0.0732  0.9635
O  0.3204  0.4268  0.4635
O  0.3356  0.6539  0.2599
O  0.3356  0.8461  0.7599
O  0.6644  0.1539  0.2401
O  0.6644  0.3461  0.7401
O  0.6796  0.5732  0.5365
O  0.6796  0.9268  0.0365
O  0.6982  0.1162  0.5376
O  0.6982  0.3838  0.0376
O  0.7691  0.7335  0.5301
O  0.7691  0.7665  0.0301
O  0.9101  0.5062  0.2026
O  0.9101  0.9938  0.7026
O  0.9848  0.1514  0.7636
O  0.9848  0.3486  0.2636

***

[2]
Structure and calculated powder diffractogram of Li2Mn3F8 (DFT lattice parameters and positions (PBE+U); Cu Kα, 1.54184 Å).
No peak broadening, texture or thermal motion is included.

Most intense lines, 5 to 70 degrees two-theta, in order of rising 2θ:
| 2theta | I/Imax |
| --- | --- |
| 17.63 | 100 |
| 19.96 | 29 |
| 22.43 | 13 |
| 24.11 | 40 |
| 25.56 | 17 |
| 34.59 | 12 |
| 40.03 | 20 |
| 40.16 | 15 |
| 44.55 | 14 |
| 53.45 | 15 |

Atomic structure:
abc: 5.8273 8.7361 9.4352
angles: 90.00 120.31 90.00
Sites, in units of the cell vectors:
Li  0.1307  0.1969  0.1910
Li  0.1307  0.3031  0.6910
Li  0.8693  0.6969  0.3090
Li  0.8693  0.8031  0.8090
Mn  0.4930  0.1465  0.6045
Mn  0.4930  0.3535  0.1045
Mn  0.5000  0.0000  0.0000
Mn  0.5000  0.5000  0.5000
Mn  0.5070  0.6465  0.8955
Mn  0.5070  0.8535  0.3955
F  0.2354  0.6950  0.3888
F  0.2354  0.8050  0.8888
F  0.2483  0.1537  0.0375
F  0.2483  0.3463  0.5375
F  0.2921  0.0551  0.3639
F  0.2921  0.4449  0.8639
F  0.3564  0.1166  0.7664
F  0.3564  0.3834  0.2664
F  0.6436  0.6166  0.7336
F  0.6436  0.8834  0.2336
F  0.7079  0.5551  0.1361
F  0.7079  0.9449  0.6361
F  0.7517  0.6537  0.4625
F  0.7517  0.8463  0.9625
F  0.7646  0.1950  0.1112
F  0.7646  0.3050  0.6112

***

[3]
Structure and calculated powder diffractogram of AlWO3 (DFT lattice parameters and positions (PBE+U); Cu Kα, 1.54184 Å).
No peak broadening, texture or thermal motion is included.

Most intense lines, 5 to 70 degrees two-theta, in order of rising 2θ:
| 2theta | I/Imax |
| --- | --- |
| 22.03 | 96 |
| 31.35 | 100 |
| 38.64 | 12 |
| 44.92 | 33 |
| 50.57 | 42 |
| 55.80 | 41 |
| 65.41 | 20 |
| 69.93 | 19 |

Atomic structure:
abc: 4.0356 4.0356 4.0356
angles: 90.00 90.00 90.00
Sites, in units of the cell vectors:
Al  0.0000  0.0000  0.0000
W  0.5000  0.5000  0.5000
O  0.0000  0.5000  0.5000
O  0.5000  0.0000  0.5000
O  0.5000  0.5000  0.0000

***

[4]
Structure and calculated powder diffractogram of Li9Mn2Co5O16 (DFT lattice parameters and positions (PBE+U); Cu Kα, 1.54184 Å).
No peak broadening, texture or thermal motion is included.

Most intense lines, 5 to 70 degrees two-theta, in order of rising 2θ:
| 2theta | I/Imax |
| --- | --- |
| 18.40 | 100 |
| 35.50 | 15 |
| 36.14 | 13 |
| 36.22 | 13 |
| 42.94 | 28 |
| 43.91 | 52 |
| 47.77 | 9 |
| 62.87 | 7 |
| 63.11 | 15 |
| 63.31 | 7 |

Atomic structure:
abc: 5.8660 5.8771 10.1111
angles: 88.91 73.27 60.24
Sites, in units of the cell vectors:
Li  0.0000  0.0000  0.0000
Li  0.0000  0.0000  0.5000
Li  0.0000  0.5000  0.0000
Li  0.0000  0.5000  0.5000
Li  0.0060  0.2458  0.2452
Li  0.0188  0.7318  0.2378
Li  0.5000  0.5000  0.0000
Li  0.9812  0.2682  0.7622
Li  0.9940  0.7542  0.7548
Mn  0.5000  0.0000  0.0000
Mn  0.5000  0.5000  0.5000
Co  0.4952  0.7491  0.7573
Co  0.4967  0.2583  0.7540
Co  0.5000  0.0000  0.5000
Co  0.5033  0.7417  0.2460
Co  0.5048  0.2509  0.2427
O  0.2638  0.1195  0.8806
O  0.2653  0.3872  0.6237
O  0.2684  0.6126  0.3783
O  0.2714  0.3428  0.1195
O  0.2705  0.6255  0.8622
O  0.2764  0.8737  0.1251
O  0.2824  0.8547  0.6083
O  0.2966  0.1022  0.3715
O  0.7034  0.8978  0.6285
O  0.7176  0.1453  0.3917
O  0.7236  0.1263  0.8749
O  0.7295  0.3745  0.1378
O  0.7286  0.6572  0.8805
O  0.7316  0.3874  0.6217
O  0.7347  0.6128  0.3763
O  0.7362  0.8805  0.1194